1.
Tl6TeO12: calculated powder diffraction line list (copper Kα), based on a cell relaxed with PBE.
No peak broadening, texture or thermal motion is included.

The 6 most intense peaks (2θ = 15–90°), in order of falling intensity:
Position (°2θ)  Rel. int.
29.2  100
33.4  52
27.7  37
47.0  29
57.1  28
48.9  25

Structure:
```
data_Tl6TeO12
_chemical_formula_sum 'Tl18 Te3 O36'
_cell_length_a 9.8487
_cell_length_b 9.8487
_cell_length_c 9.6782
_cell_angle_alpha 90.00
_cell_angle_beta 90.00
_cell_angle_gamma 120.00
_symmetry_space_group_name_H-M 'R -3'
_symmetry_Int_Tables_number 148
_symmetry_space_group_name_Hall '-R 3'
loop_
_atom_site_label
_atom_site_type_symbol
_atom_site_fract_x
_atom_site_fract_y
_atom_site_fract_z
Tl1 Tl 0.0449 0.2584 0.1509
Te1 Te 0.0000 0.0000 0.5000
O1 O 0.0234 0.2247 0.8996
O2 O 0.0390 0.1839 0.3890
```


2.
Tm2TeO2: calculated powder diffraction line list (copper Kα), based on a cell relaxed with PBE.
No peak broadening, texture or thermal motion is included.

The 6 most intense peaks (2θ = 15–90°), in order of falling intensity:
Position (°2θ)  Rel. int.
29.5  100
36.9  48
47.1  33
61.9  23
56.6  16
37.8  16

Structure:
```
data_Tm2TeO2
_chemical_formula_sum 'Tm2 Te1 O2'
_cell_length_a 3.8551
_cell_length_b 3.8551
_cell_length_c 7.1429
_cell_angle_alpha 90.00
_cell_angle_beta 90.00
_cell_angle_gamma 120.00
_symmetry_space_group_name_H-M 'P -3 m 1'
_symmetry_Int_Tables_number 164
_symmetry_space_group_name_Hall '-P 3 2"'
loop_
_atom_site_label
_atom_site_type_symbol
_atom_site_fract_x
_atom_site_fract_y
_atom_site_fract_z
Tm1 Tm 0.3333 0.6667 0.3063
Te1 Te 0.0000 0.0000 0.0000
O1 O 0.3333 0.6667 0.6196
```


3.
Tm2TeO2: calculated powder diffraction line list (copper Kα), based on a cell relaxed with PBE.
No peak broadening, texture or thermal motion is included.

The 6 most intense peaks (2θ = 15–90°), in order of falling intensity:
Position (°2θ)  Rel. int.
32.8  100
29.6  77
36.9  71
47.2  68
27.5  59
62.0  46

Structure:
```
data_Tm2TeO2
_chemical_formula_sum 'Tm4 Te2 O4'
_cell_length_a 3.8528
_cell_length_b 3.8528
_cell_length_c 14.2466
_cell_angle_alpha 90.00
_cell_angle_beta 90.00
_cell_angle_gamma 120.00
_symmetry_space_group_name_H-M 'P 63/m m c'
_symmetry_Int_Tables_number 194
_symmetry_space_group_name_Hall '-P 6c 2c'
loop_
_atom_site_label
_atom_site_type_symbol
_atom_site_fract_x
_atom_site_fract_y
_atom_site_fract_z
Tm1 Tm 0.3333 0.6667 0.0971
Te1 Te 0.0000 0.0000 0.2500
O1 O 0.3333 0.6667 0.5602
```


4.
UTeO: calculated powder diffraction line list (copper Kα), based on a cell relaxed with PBE.
No peak broadening, texture or thermal motion is included.

The 6 most intense peaks (2θ = 15–90°), in order of falling intensity:
Position (°2θ)  Rel. int.
32.3  100
31.9  53
57.1  40
45.7  24
25.2  16
57.9  14

Structure:
```
data_UTeO
_chemical_formula_sum 'U2 Te2 O2'
_cell_length_a 3.9702
_cell_length_b 3.9702
_cell_length_c 7.7398
_cell_angle_alpha 90.00
_cell_angle_beta 90.00
_cell_angle_gamma 90.00
_symmetry_space_group_name_H-M 'P 4/n m m'
_symmetry_Int_Tables_number 129
loop_
_symmetry_equiv_pos_as_xyz
'x,y,z'
'-x,-y,-z'
'-y+1/2,x,z'
'y+1/2,-x,-z'
'-x+1/2,-y+1/2,z'
'x+1/2,y+1/2,-z'
'y,-x+1/2,z'
'-y,x+1/2,-z'
'x+1/2,-y,-z'
'-x+1/2,y,z'
'-y,-x,-z'
'y,x,z'
'-x,y+1/2,-z'
'x,-y+1/2,z'
'y+1/2,x+1/2,-z'
'-y+1/2,-x+1/2,z'
loop_
_atom_site_label
_atom_site_type_symbol
_atom_site_fract_x
_atom_site_fract_y
_atom_site_fract_z
U1 U 0.2500 0.2500 0.1596
Te1 Te 0.2500 0.2500 0.6360
O1 O 0.2500 0.7500 0.0000
```


5.
U4Te3O4: calculated powder diffraction line list (copper Kα), based on a cell relaxed with PBE.
No peak broadening, texture or thermal motion is included.

The 6 most intense peaks (2θ = 15–90°), in order of falling intensity:
Position (°2θ)  Rel. int.
31.8  100
31.9  51
56.8  39
45.8  26
75.9  18
56.5  15

Structure:
```
data_U4Te3O4
_chemical_formula_sum 'U8 Te6 O8'
_cell_length_a 3.9643
_cell_length_b 3.9643
_cell_length_c 28.0119
_cell_angle_alpha 90.00
_cell_angle_beta 90.00
_cell_angle_gamma 90.00
_symmetry_space_group_name_H-M 'I 4/m m m'
_symmetry_Int_Tables_number 139
_symmetry_space_group_name_Hall '-I 4 2'
loop_
_atom_site_label
_atom_site_type_symbol
_atom_site_fract_x
_atom_site_fract_y
_atom_site_fract_z
U1 U 0.0000 0.0000 0.0682
U2 U 0.0000 0.0000 0.3439
Te1 Te 0.0000 0.0000 0.2106
Te2 Te 0.0000 0.0000 0.5000
O1 O 0.0000 0.5000 0.1080
```